Entry 1:
Simulated PXRD pattern
Compound: Ce2Y3S8
Radiation: Cu Kα
Structure: a PBE-relaxed structure
Peak positions follow from Bragg's law for the DFT cell and can differ from measured ones.

The 10 most intense peaks (2θ = 10–80°), most intense first:
(hkl), two_theta, d_spacing, intensity
1 1 1, 20.85, 4.260, 100
3 1 -1, 23.19, 3.835, 77
4 2 -1, 34.44, 2.604, 70
4 2 1, 41.64, 2.169, 59
2 2 -3, 46.83, 1.940, 58
2 2 0, 26.21, 3.400, 54
2 0 2, 35.53, 2.526, 38
2 2 -1, 27.57, 3.235, 36
6 0 -2, 41.19, 2.192, 34
2 0 -1, 15.80, 5.609, 33

Structure:
```
data_Ce2Y3S8
_chemical_formula_sum 'Ce4 Y6 S16'
_cell_length_a 14.104
_cell_length_b 7.919
_cell_length_c 6.677
_cell_angle_alpha 90.00
_cell_angle_beta 109.83
_cell_angle_gamma 90.00
_symmetry_space_group_name_H-M 'C 1 2/m 1'
_symmetry_Int_Tables_number 12
loop_
_symmetry_equiv_pos_as_xyz
'x,y,z'
'-x,-y,-z'
'-x,y,-z'
'x,-y,z'
'x+1/2,y+1/2,z'
'-x+1/2,-y+1/2,-z'
'-x+1/2,y+1/2,-z'
'x+1/2,-y+1/2,z'
loop_
_atom_site_label
_atom_site_fract_x
_atom_site_fract_y
_atom_site_fract_z
Ce1 0.236 0.000 0.166
Y1 0.000 0.239 0.500
Y2 0.000 0.500 0.000
S1 0.110 0.000 0.395
S2 0.115 0.500 0.425
S3 0.125 0.271 0.913
```

Entry 2:
Simulated PXRD pattern
Compound: YbCeS3
Radiation: Cu Kα
Structure: a PBE-relaxed structure
Peak positions follow from Bragg's law for the DFT cell and can differ from measured ones.

The 10 most intense peaks (2θ = 10–80°), most intense first:
(hkl), two_theta, d_spacing, intensity
0 2 2, 23.57, 3.774, 100
0 6 2, 46.50, 1.953, 43
1 3 2, 36.70, 2.449, 38
1 3 1, 32.54, 2.751, 35
1 3 0, 31.05, 2.880, 30
1 1 0, 23.98, 3.711, 28
2 2 2, 53.14, 1.723, 23
1 1 3, 37.81, 2.380, 21
0 4 0, 27.62, 3.230, 20
0 0 4, 38.72, 2.326, 18

Structure:
```
data_YbCeS3
_chemical_formula_sum 'Yb4 Ce4 S12'
_cell_length_a 3.875
_cell_length_b 12.918
_cell_length_c 9.302
_cell_angle_alpha 90.00
_cell_angle_beta 90.00
_cell_angle_gamma 90.00
_symmetry_space_group_name_H-M 'C m c m'
_symmetry_Int_Tables_number 63
_symmetry_space_group_name_Hall '-C 2c 2'
loop_
_atom_site_label
_atom_site_fract_x
_atom_site_fract_y
_atom_site_fract_z
Yb1 0.000 0.000 0.000
Ce1 0.000 0.250 0.250
S1 0.000 0.101 0.750
S2 0.000 0.353 0.570
```